The following is a computed powder diffractogram of Rb2Sn4I9. It was derived from a crystal structure in Alexandria, relaxed with PBE, using Cu Kα.

Structural model:
Cell: 8.2537 8.3717 24.4477 Å, 88.08 86.52 60.73°
Positions (direct):
Rb: 0.0007 0.4969 0.3456
Rb: 0.0267 0.5047 0.8511
Rb: 0.9733 0.4953 0.1489
Rb: 0.9993 0.5031 0.6544
Sn: 0.3277 0.8457 0.5022
Sn: 0.3340 0.8282 0.9998
Sn: 0.3565 0.7620 0.3239
Sn: 0.3627 0.8576 0.8182
Sn: 0.6373 0.1424 0.1818
Sn: 0.6435 0.2380 0.6761
Sn: 0.6660 0.1718 0.0002
Sn: 0.6723 0.1543 0.4978
I: 0.0255 0.8792 0.9229
I: 0.0357 0.0882 0.4175
I: 0.0491 0.1506 0.7596
I: 0.3176 0.1312 0.2446
I: 0.3430 0.5560 0.7441
I: 0.3684 0.1229 0.5739
I: 0.3781 0.4892 0.0774
I: 0.3786 0.5005 0.4206
I: 0.3960 0.1029 0.9185
I: 0.6040 0.8971 0.0815
I: 0.6214 0.4995 0.5794
I: 0.6219 0.5108 0.9226
I: 0.6316 0.8771 0.4261
I: 0.6570 0.4440 0.2559
I: 0.6824 0.8688 0.7554
I: 0.9509 0.8494 0.2404
I: 0.9643 0.9118 0.5825
I: 0.9745 0.1208 0.0771

Principal peaks in the range 10° ≤ 2θ ≤ 90°, low angle first:
Position (°2θ)  d (Å)  I_rel
23.6  3.771  100
24.1  3.692  30
24.3  3.668  27
24.8  3.589  36
30.1  2.965  64
31.0  2.883  24
31.2  2.866  29
36.9  2.434  23
37.5  2.397  28
37.7  2.387  28

***

The following is a computed powder diffractogram of Rb2SnI7. It was derived from a crystal structure in Alexandria, relaxed with PBE, using Cu Kα.

Structural model:
Cell: 8.8826 8.8826 8.8826 Å, 119.09 119.09 91.58°
Positions (direct):
Rb: 0.2500 0.7500 0.5000
Rb: 0.7500 0.2500 0.5000
Sn: 0.0000 0.0000 0.0000
I: 0.2313 0.2313 0.4626
I: 0.2313 0.7687 0.0000
I: 0.2382 0.2382 0.0000
I: 0.5000 0.5000 0.0000
I: 0.7618 0.7618 0.0000
I: 0.7687 0.2313 0.0000
I: 0.7687 0.7687 0.5374

Principal peaks in the range 10° ≤ 2θ ≤ 90°, low angle first:
Position (°2θ)  d (Å)  I_rel
13.9  6.367  44
14.3  6.194  20
24.4  3.642  95
28.0  3.184  100
28.8  3.097  48
40.1  2.251  36
40.6  2.220  71
47.5  1.915  26
50.1  1.821  37
73.2  1.294  21

***

The following is a computed powder diffractogram of Rb3Sn4I12. It was derived from a crystal structure in Alexandria, relaxed with PBE, using Cu Kα.

Structural model:
Cell: 10.6258 10.6258 10.6258 Å, 109.47 109.47 109.47°
Positions (direct):
Rb: 0.0000 0.5000 0.5000
Rb: 0.5000 0.0000 0.5000
Rb: 0.5000 0.5000 0.0000
Sn: 0.0000 0.0000 0.5000
Sn: 0.0000 0.5000 0.0000
Sn: 0.5000 0.0000 0.0000
Sn: 0.5000 0.5000 0.5000
I: 0.0646 0.7794 0.2852
I: 0.2206 0.2852 0.5058
I: 0.2206 0.7148 0.9354
I: 0.2852 0.0646 0.7794
I: 0.2852 0.5058 0.2206
I: 0.4942 0.7794 0.7148
I: 0.5058 0.2206 0.2852
I: 0.7148 0.4942 0.7794
I: 0.7148 0.9354 0.2206
I: 0.7794 0.2852 0.0646
I: 0.7794 0.7148 0.4942
I: 0.9354 0.2206 0.7148

Principal peaks in the range 10° ≤ 2θ ≤ 90°, low angle first:
Position (°2θ)  d (Å)  I_rel
14.4  6.135  58
22.9  3.880  30
25.1  3.542  57
27.2  3.279  33
29.1  3.067  100
32.6  2.744  34
41.6  2.169  56
43.0  2.104  20
45.6  1.990  28
52.8  1.735  20

***

The following is a computed powder diffractogram of Rb3SrSn2I9. It was derived from a crystal structure in Alexandria, relaxed with PBE, using Cu Kα.

Structural model:
Cell: 8.8954 8.8954 11.2594 Å, 90.00 90.00 120.00°
Positions (direct):
Rb: 0.0000 0.0000 0.0000
Rb: 0.3333 0.6667 0.7377
Rb: 0.6667 0.3333 0.2623
Sr: 0.0000 0.0000 0.5000
Sn: 0.3333 0.6667 0.1686
Sn: 0.6667 0.3333 0.8314
I: 0.0000 0.5000 0.0000
I: 0.1638 0.3276 0.3182
I: 0.1638 0.8362 0.3182
I: 0.3276 0.1638 0.6818
I: 0.5000 0.0000 0.0000
I: 0.5000 0.5000 0.0000
I: 0.6724 0.8362 0.3182
I: 0.8362 0.1638 0.6818
I: 0.8362 0.6724 0.6818

Principal peaks in the range 10° ≤ 2θ ≤ 90°, low angle first:
Position (°2θ)  d (Å)  I_rel
13.9  6.358  40
23.7  3.753  15
24.4  3.644  56
28.1  3.179  100
31.2  2.868  18
31.8  2.818  14
39.7  2.273  31
40.6  2.224  39
50.1  1.822  20
66.3  1.409  17

***

The following is a computed powder diffractogram of Rb2SrSnI6. It was derived from a crystal structure in Alexandria, relaxed with PBE, using Cu Kα.

Structural model:
Cell: 8.5413 9.0421 14.9661 Å, 90.00 124.35 90.00°
Positions (direct):
Rb: 0.2172 0.0836 0.2483
Rb: 0.2172 0.4164 0.7483
Rb: 0.7828 0.5836 0.2517
Rb: 0.7828 0.9164 0.7517
Sr: 0.5000 0.0000 0.0000
Sr: 0.5000 0.5000 0.5000
Sn: 0.0000 0.0000 0.5000
Sn: 0.0000 0.5000 0.0000
I: 0.1311 0.2000 0.9440
I: 0.1311 0.3000 0.4440
I: 0.2498 0.6932 0.9442
I: 0.2498 0.8068 0.4442
I: 0.3585 0.0288 0.7458
I: 0.3585 0.4712 0.2458
I: 0.6415 0.5288 0.7542
I: 0.6415 0.9712 0.2542
I: 0.7502 0.1932 0.5558
I: 0.7502 0.3068 0.0558
I: 0.8689 0.7000 0.5560
I: 0.8689 0.8000 0.0560

Principal peaks in the range 10° ≤ 2θ ≤ 90°, low angle first:
Position (°2θ)  d (Å)  I_rel
14.3  6.200  70
23.4  3.801  62
23.9  3.722  65
24.1  3.696  99
24.4  3.649  69
26.6  3.355  62
28.8  3.104  100
28.9  3.089  67
31.5  2.842  58
32.3  2.769  63

***

The following is a computed powder diffractogram of Rb4TlSn3I12. It was derived from a crystal structure in Alexandria, relaxed with PBE, using Cu Kα.

Structural model:
Cell: 10.8235 10.8235 10.8235 Å, 109.47 109.47 109.47°
Positions (direct):
Rb: 0.0000 0.0000 0.5000
Rb: 0.0000 0.5000 0.0000
Rb: 0.5000 0.0000 0.0000
Rb: 0.5000 0.5000 0.5000
Tl: 0.0000 0.0000 0.0000
Sn: 0.0000 0.5000 0.5000
Sn: 0.5000 0.0000 0.5000
Sn: 0.5000 0.5000 0.0000
I: 0.0000 0.2561 0.2561
I: 0.0000 0.7439 0.7439
I: 0.2500 0.5000 0.7500
I: 0.2500 0.7500 0.5000
I: 0.2561 0.0000 0.2561
I: 0.2561 0.2561 0.0000
I: 0.5000 0.2500 0.7500
I: 0.5000 0.7500 0.2500
I: 0.7439 0.0000 0.7439
I: 0.7439 0.7439 0.0000
I: 0.7500 0.2500 0.5000
I: 0.7500 0.5000 0.2500

Principal peaks in the range 10° ≤ 2θ ≤ 90°, low angle first:
Position (°2θ)  d (Å)  I_rel
14.2  6.249  46
24.7  3.608  56
28.6  3.124  100
32.0  2.795  26
40.8  2.209  76
43.4  2.083  14
48.3  1.884  25
50.6  1.804  27
67.0  1.397  35
74.4  1.276  26

***

The following is a computed powder diffractogram of Rb4SrI6. It was derived from a crystal structure in Alexandria, relaxed with PBE, using Cu Kα.

Structural model:
Cell: 10.3120 10.3120 10.3120 Å, 89.78 89.78 89.78°
Positions (direct):
Rb: 0.1301 0.7500 0.3699
Rb: 0.2500 0.2500 0.2500
Rb: 0.2500 0.6301 0.8699
Rb: 0.3699 0.1301 0.7500
Rb: 0.6301 0.8699 0.2500
Rb: 0.7500 0.3699 0.1301
Rb: 0.7500 0.7500 0.7500
Rb: 0.8699 0.2500 0.6301
Sr: 0.0000 0.0000 0.0000
Sr: 0.5000 0.5000 0.5000
I: 0.0576 0.9275 0.6958
I: 0.0725 0.3042 0.9424
I: 0.1958 0.4275 0.5576
I: 0.3042 0.9424 0.0725
I: 0.4275 0.5576 0.1958
I: 0.4424 0.8042 0.5725
I: 0.5576 0.1958 0.4275
I: 0.5725 0.4424 0.8042
I: 0.6958 0.0576 0.9275
I: 0.8042 0.5725 0.4424
I: 0.9275 0.6958 0.0576
I: 0.9424 0.0725 0.3042

Principal peaks in the range 10° ≤ 2θ ≤ 90°, low angle first:
Position (°2θ)  d (Å)  I_rel
12.1  7.295  19
21.1  4.214  37
24.4  3.648  20
26.0  3.432  62
27.3  3.263  82
28.7  3.108  100
32.5  2.751  21
37.0  2.431  23
40.1  2.247  22
54.9  1.671  21